# Cu
Computed powder diffractogram, copper Kα. Input: a GGA-PBE-relaxed structure.
Kinematic intensities with the Lorentz-polarization factor, no thermal factor.

abc: 2.521 2.521 41.631
angles: 90.00 90.00 90.00
Sites, in units of the cell vectors:
1 Cu 0.250 0.250 0.022
2 Cu 0.250 0.250 0.110
3 Cu 0.250 0.250 0.197
4 Cu 0.250 0.250 0.286
5 Cu 0.250 0.250 0.671
6 Cu 0.250 0.250 0.759
7 Cu 0.250 0.250 0.847
8 Cu 0.250 0.250 0.934
9 Cu 0.750 0.750 0.066
10 Cu 0.750 0.750 0.153
11 Cu 0.750 0.750 0.241
12 Cu 0.750 0.750 0.329
13 Cu 0.750 0.750 0.714
14 Cu 0.750 0.750 0.803
15 Cu 0.750 0.750 0.890
16 Cu 0.750 0.750 0.978

Principal peaks in the range 2θ = 15–90°, in order of falling intensity:
2θ 43.11, intensity 100, (1 0 11); 2θ 44.42, intensity 63, (1 0 12); 2θ 51.26, intensity 48, (1 1 0); 2θ 74.74, intensity 21, (1 1 23); 2θ 50.42, intensity 19, (0 0 23); 2θ 88.84, intensity 14, (1 0 34)